Entry 1:
Calculated powder diffractogram of TiGaPt6 for Cu Kα, from DFT lattice parameters and positions (PBE).

The 6 most intense peaks (10° ≤ 2θ ≤ 90°), sorted by position:
d 3.946, intensity 13
d 2.278, intensity 100
d 1.973, intensity 49
d 1.395, intensity 32
d 1.190, intensity 38
d 1.139, intensity 11

Structure:
Cell lengths 3.946, 3.946, 7.890 Å; angles 90.00, 90.00, 90.00 degrees
Fractional positions:
Ti (0.000, 0.000, 0.000)
Ga (0.000, 0.000, 0.500)
Pt (0.000, 0.500, 0.245)
Pt (0.000, 0.500, 0.755)
Pt (0.500, 0.000, 0.245)
Pt (0.500, 0.000, 0.755)
Pt (0.500, 0.500, 0.000)
Pt (0.500, 0.500, 0.500)

=====

Entry 2:
Calculated powder diffractogram of Dy2Y5Ho for Cu Kα, from DFT lattice parameters and positions (PBE).

The 6 most intense peaks (10° ≤ 2θ ≤ 90°), sorted by position:
d 3.149, intensity 25
d 2.824, intensity 24
d 2.751, intensity 100
d 1.818, intensity 20
d 1.616, intensity 20
d 1.529, intensity 22

Structure:
Cell lengths 6.716, 9.211, 9.211 Å; angles 86.31, 72.43, 72.41 degrees
Fractional positions:
Dy (0.001, 0.167, 0.082)
Dy (0.499, 0.583, 0.666)
Dy (0.501, 0.417, 0.334)
Dy (0.999, 0.833, 0.918)
Y (0.002, 0.334, 0.415)
Y (0.247, 0.792, 0.210)
Y (0.251, 0.458, 0.041)
Y (0.251, 0.957, 0.542)
Y (0.498, 0.917, 0.834)
Y (0.502, 0.083, 0.166)
Y (0.749, 0.043, 0.458)
Y (0.749, 0.542, 0.959)
Y (0.753, 0.208, 0.790)
Y (0.998, 0.666, 0.585)
Ho (0.252, 0.292, 0.708)
Ho (0.748, 0.708, 0.292)

=====

Entry 3:
Calculated powder diffractogram of PrTl4 for Cu Kα, from DFT lattice parameters and positions (PBE).

The 6 most intense peaks (10° ≤ 2θ ≤ 90°), sorted by position:
d 2.812, intensity 100
d 2.799, intensity 86
d 2.641, intensity 33
d 2.577, intensity 42
d 1.528, intensity 30
d 1.455, intensity 27

Structure:
Cell lengths 9.409, 9.409, 9.409 Å; angles 148.21, 137.62, 53.94 degrees
Fractional positions:
Pr (0.340, 0.090, 0.250)
Pr (0.660, 0.910, 0.750)
Tl (0.000, 0.500, 0.500)
Tl (0.138, 0.888, 0.250)
Tl (0.206, 0.697, 0.509)
Tl (0.312, 0.303, 0.009)
Tl (0.500, 0.500, 0.000)
Tl (0.688, 0.697, 0.991)
Tl (0.794, 0.303, 0.491)
Tl (0.862, 0.112, 0.750)

=====

Entry 4:
Calculated powder diffractogram of Tb2Ga5Cu5 for Cu Kα, from DFT lattice parameters and positions (PBE).

The 6 most intense peaks (10° ≤ 2θ ≤ 90°), sorted by position:
d 3.029, intensity 45
d 2.681, intensity 32
d 2.288, intensity 30
d 2.234, intensity 100
d 2.200, intensity 48
d 2.020, intensity 37

Structure:
Cell lengths 4.040, 5.247, 9.356 Å; angles 90.00, 90.00, 90.00 degrees
Fractional positions:
Tb (0.000, 0.000, 0.000)
Tb (0.000, 0.500, 0.500)
Ga (0.000, 0.000, 0.315)
Ga (0.000, 0.000, 0.685)
Ga (0.000, 0.500, 0.167)
Ga (0.000, 0.500, 0.833)
Ga (0.500, 0.000, 0.500)
Cu (0.500, 0.253, 0.249)
Cu (0.500, 0.253, 0.751)
Cu (0.500, 0.500, 0.000)
Cu (0.500, 0.747, 0.249)
Cu (0.500, 0.747, 0.751)

=====

Entry 5:
Calculated powder diffractogram of CdPb8Au2 for Cu Kα, from DFT lattice parameters and positions (PBE).

The 6 most intense peaks (10° ≤ 2θ ≤ 90°), sorted by position:
d 3.456, intensity 80
d 3.231, intensity 48
d 2.747, intensity 100
d 2.702, intensity 86
d 2.482, intensity 51
d 2.122, intensity 45

Structure:
Cell lengths 8.282, 8.282, 5.851 Å; angles 108.31, 108.31, 65.50 degrees
Fractional positions:
Cd (0.000, 0.000, 0.000)
Pb (0.136, 0.136, 0.592)
Pb (0.176, 0.576, 0.079)
Pb (0.405, 0.405, 0.622)
Pb (0.424, 0.824, 0.921)
Pb (0.576, 0.176, 0.079)
Pb (0.595, 0.595, 0.378)
Pb (0.824, 0.424, 0.921)
Pb (0.864, 0.864, 0.408)
Au (0.217, 0.217, 0.185)
Au (0.783, 0.783, 0.815)

=====

Entry 6:
Calculated powder diffractogram of Dy2AlB2Ru5 for Cu Kα, from DFT lattice parameters and positions (PBE).

The 6 most intense peaks (10° ≤ 2θ ≤ 90°), sorted by position:
d 2.520, intensity 99
d 2.322, intensity 100
d 2.257, intensity 33
d 2.172, intensity 79
d 2.021, intensity 32
d 1.294, intensity 30

Structure:
Cell lengths 9.574, 9.574, 3.117 Å; angles 90.00, 90.00, 90.00 degrees
Fractional positions:
Dy (0.176, 0.324, 0.000)
Dy (0.324, 0.824, 0.000)
Dy (0.676, 0.176, 0.000)
Dy (0.824, 0.676, 0.000)
Al (0.000, 0.000, 0.000)
Al (0.500, 0.500, 0.000)
B (0.124, 0.624, 0.000)
B (0.376, 0.124, 0.000)
B (0.624, 0.876, 0.000)
B (0.876, 0.376, 0.000)
Ru (0.000, 0.500, 0.500)
Ru (0.069, 0.782, 0.500)
Ru (0.218, 0.069, 0.500)
Ru (0.282, 0.569, 0.500)
Ru (0.431, 0.282, 0.500)
Ru (0.500, 0.000, 0.500)
Ru (0.569, 0.718, 0.500)
Ru (0.718, 0.431, 0.500)
Ru (0.782, 0.931, 0.500)
Ru (0.931, 0.218, 0.500)